# HoMgPd
Computed X-ray powder pattern, CuKα. Input: a PBE-relaxed structure.

Largest 6 diffraction maxima, in order of rising 2θ, 2θ = 10–90°:
Position (°2θ), I/Imax
23.94, 37
27.72, 25
32.78, 91
35.71, 100
42.11, 30
56.37, 26

Cell and atoms:
```
HoMgPd
1.0
7.433 0.000 0.000
-3.716 6.437 0.000
0.000 0.000 4.029
Ho Mg Pd
3 3 3
Cartesian
-1.530 2.650 0.000
3.060 0.000 0.000
2.186 3.787 0.000
-2.804 4.857 2.015
0.912 1.580 2.015
5.608 0.000 2.015
0.000 0.000 0.000
0.000 4.291 2.015
3.716 2.146 2.015
```

---

# Ho2TmMg3Pd2Pt
Computed X-ray powder pattern, CuKα. Input: a PBE-relaxed structure.

Largest 6 diffraction maxima, in order of rising 2θ, 2θ = 10–90°:
Position (°2θ), I/Imax
24.26, 39
28.09, 30
32.76, 64
35.76, 100
42.69, 34
43.68, 33

Cell and atoms:
```
Ho2TmMg3Pd2Pt
1.0
4.100 0.000 0.000
0.000 6.354 3.668
0.000 -6.354 3.668
Ho Tm Mg Pd Pt
2 1 3 2 1
Cartesian
0.000 -3.768 3.668
0.000 3.768 3.668
0.000 0.000 2.864
2.050 0.000 0.310
2.050 -1.556 4.939
2.050 1.556 4.939
2.050 -2.105 2.178
2.050 2.105 2.178
0.000 0.000 5.830
```

---

# Y2HoMg3Pd2Pt
Computed X-ray powder pattern, CuKα. Input: a PBE-relaxed structure.

Largest 6 diffraction maxima, in order of rising 2θ, 2θ = 10–90°:
Position (°2θ), I/Imax
24.11, 44
25.80, 34
32.64, 46
35.61, 100
42.38, 23
43.44, 35

Cell and atoms:
```
Y2HoMg3Pd2Pt
1.0
4.105 0.000 0.000
0.000 6.376 3.699
0.000 -6.376 3.699
Y Ho Mg Pd Pt
2 1 3 2 1
Cartesian
0.000 -3.774 3.699
0.000 3.774 3.699
0.000 0.000 2.879
2.052 0.000 0.292
2.052 -1.560 4.984
2.052 1.560 4.984
2.052 -2.099 2.196
2.052 2.099 2.196
0.000 0.000 5.867
```

---

Question: What is the formula in the first record?
Answer: HoMgPd

---

Copy entry 2 word for word.
# Ho2TmMg3Pd2Pt
Computed X-ray powder pattern, CuKα. Input: a PBE-relaxed structure.

Largest 6 diffraction maxima, in order of rising 2θ, 2θ = 10–90°:
Position (°2θ), I/Imax
24.26, 39
28.09, 30
32.76, 64
35.76, 100
42.69, 34
43.68, 33

Cell and atoms:
```
Ho2TmMg3Pd2Pt
1.0
4.100 0.000 0.000
0.000 6.354 3.668
0.000 -6.354 3.668
Ho Tm Mg Pd Pt
2 1 3 2 1
Cartesian
0.000 -3.768 3.668
0.000 3.768 3.668
0.000 0.000 2.864
2.050 0.000 0.310
2.050 -1.556 4.939
2.050 1.556 4.939
2.050 -2.105 2.178
2.050 2.105 2.178
0.000 0.000 5.830
```

---

Question: What is the formula in the second record?
Answer: Ho2TmMg3Pd2Pt